Computed X-ray diffraction stick pattern
Compound: Ba3La2C5O15F2
Radiation: a wavelength of 1.5418 Å
Structure: a crystal structure in Alexandria, relaxed with GGA-PBE

Peak list (8 most intense, 15° ≤ 2θ ≤ 90°, low angle first)
2θ = 21.90°, intensity 100; 2θ = 26.96°, intensity 83; 2θ = 27.11°, intensity 55; 2θ = 34.75°, intensity 21; 2θ = 34.97°, intensity 36; 2θ = 41.49°, intensity 31; 2θ = 41.93°, intensity 40; 2θ = 44.83°, intensity 40

Cell and atoms:
Cell lengths 11.1568, 11.1568, 13.4619 Å; angles 94.70, 94.70, 26.76 degrees
Fractional coordinates of all 54 atoms:
Ba: 0.0000 0.0000 0.0000
Ba: 0.1862 0.1862 0.5952
Ba: 0.3074 0.3074 0.8999
Ba: 0.5000 0.5000 0.5000
Ba: 0.6926 0.6926 0.1001
Ba: 0.8138 0.8138 0.4048
La: 0.1002 0.1002 0.3149
La: 0.3947 0.3947 0.2122
La: 0.6053 0.6053 0.7878
La: 0.8998 0.8998 0.6851
C: 0.0413 0.0413 0.6996
C: 0.1503 0.1503 0.9598
C: 0.2539 0.2539 0.2253
C: 0.3392 0.3392 0.5971
C: 0.4517 0.4517 0.8534
C: 0.5483 0.5483 0.1466
C: 0.6608 0.6608 0.4029
C: 0.7461 0.7461 0.7747
C: 0.8497 0.8497 0.0402
C: 0.9587 0.9587 0.3004
O: 0.0684 0.5010 0.2253
O: 0.0917 0.5296 0.5832
O: 0.0964 0.6609 0.0593
O: 0.0992 0.0992 0.7332
O: 0.1943 0.1943 0.2207
O: 0.2040 0.6402 0.8408
O: 0.2055 0.2055 0.0035
O: 0.2054 0.7699 0.3142
O: 0.2301 0.7946 0.6858
O: 0.3391 0.9036 0.9407
O: 0.3598 0.7960 0.1592
O: 0.3973 0.3973 0.6314
O: 0.4704 0.9083 0.4168
O: 0.4904 0.4904 0.1145
O: 0.4990 0.9316 0.7747
O: 0.5010 0.0684 0.2253
O: 0.5096 0.5096 0.8855
O: 0.5296 0.0917 0.5832
O: 0.6027 0.6027 0.3686
O: 0.6402 0.2040 0.8408
O: 0.6609 0.0964 0.0593
O: 0.7699 0.2054 0.3142
O: 0.7946 0.2301 0.6858
O: 0.7945 0.7945 0.9965
O: 0.7960 0.3598 0.1592
O: 0.8057 0.8057 0.7793
O: 0.9008 0.9008 0.2668
O: 0.9036 0.3391 0.9407
O: 0.9083 0.4704 0.4168
O: 0.9316 0.4990 0.7747
F: 0.0739 0.0739 0.4831
F: 0.3753 0.3753 0.3855
F: 0.6247 0.6247 0.6145
F: 0.9261 0.9261 0.5169



Computed X-ray diffraction stick pattern
Compound: BaZnCO3F2
Radiation: a wavelength of 1.5418 Å
Structure: a crystal structure in Alexandria, relaxed with GGA-PBE

Peak list (8 most intense, 15° ≤ 2θ ≤ 90°, low angle first)
2θ = 20.86°, intensity 17; 2θ = 27.36°, intensity 100; 2θ = 35.45°, intensity 26; 2θ = 36.55°, intensity 51; 2θ = 46.25°, intensity 26; 2θ = 51.83°, intensity 29; 2θ = 58.84°, intensity 14; 2θ = 60.34°, intensity 19

Cell and atoms:
Cell lengths 4.9174, 4.9174, 10.1296 Å; angles 90.00, 90.00, 120.00 degrees
Fractional coordinates of all 16 atoms:
Ba: 0.0000 0.0000 0.0000
Ba: 0.0000 0.0000 0.5000
Zn: 0.3333 0.6667 0.2500
Zn: 0.6667 0.3333 0.7500
C: 0.3333 0.6667 0.7500
C: 0.6667 0.3333 0.2500
O: 0.1031 0.3791 0.7500
O: 0.2760 0.8969 0.7500
O: 0.3791 0.2760 0.2500
O: 0.6209 0.7240 0.7500
O: 0.7240 0.1031 0.2500
O: 0.8969 0.6209 0.2500
F: 0.3333 0.6667 0.0477
F: 0.3333 0.6667 0.4523
F: 0.6667 0.3333 0.5477
F: 0.6667 0.3333 0.9523



Computed X-ray diffraction stick pattern
Compound: Ba2GeC
Radiation: a wavelength of 1.5418 Å
Structure: a crystal structure in Alexandria, relaxed with GGA-PBE

Peak list (8 most intense, 15° ≤ 2θ ≤ 90°, low angle first)
2θ = 23.01°, intensity 31; 2θ = 32.77°, intensity 100; 2θ = 40.42°, intensity 10; 2θ = 47.02°, intensity 18; 2θ = 52.97°, intensity 13; 2θ = 58.49°, intensity 37; 2θ = 68.68°, intensity 11; 2θ = 78.20°, intensity 16

Cell and atoms:
Cell lengths 7.7307, 7.7307, 7.7307 Å; angles 90.00, 90.00, 90.00 degrees
Fractional coordinates of all 16 atoms:
Ba: 0.2500 0.2500 0.2500
Ba: 0.2500 0.2500 0.7500
Ba: 0.2500 0.7500 0.2500
Ba: 0.2500 0.7500 0.7500
Ba: 0.7500 0.2500 0.2500
Ba: 0.7500 0.2500 0.7500
Ba: 0.7500 0.7500 0.2500
Ba: 0.7500 0.7500 0.7500
Ge: 0.0000 0.0000 0.0000
Ge: 0.0000 0.5000 0.5000
Ge: 0.5000 0.0000 0.5000
Ge: 0.5000 0.5000 0.0000
C: 0.0000 0.0000 0.5000
C: 0.0000 0.5000 0.0000
C: 0.5000 0.0000 0.0000
C: 0.5000 0.5000 0.5000



Computed X-ray diffraction stick pattern
Compound: BaH6CI3N3
Radiation: a wavelength of 1.5418 Å
Structure: a crystal structure in Alexandria, relaxed with GGA-PBE

Peak list (8 most intense, 15° ≤ 2θ ≤ 90°, low angle first)
2θ = 19.29°, intensity 27; 2θ = 20.99°, intensity 37; 2θ = 23.63°, intensity 100; 2θ = 26.93°, intensity 37; 2θ = 29.06°, intensity 51; 2θ = 30.25°, intensity 32; 2θ = 34.75°, intensity 30; 2θ = 39.36°, intensity 39

Cell and atoms:
Cell lengths 9.5343, 9.2043, 19.0447 Å; angles 90.00, 119.95, 90.00 degrees
Fractional coordinates of all 56 atoms:
Ba: 0.0038 0.0452 0.2506
Ba: 0.0038 0.4548 0.7506
Ba: 0.9962 0.5452 0.2494
Ba: 0.9962 0.9548 0.7494
H: 0.0845 0.2502 0.0192
H: 0.0845 0.2498 0.5192
H: 0.1808 0.2256 0.9618
H: 0.1808 0.2744 0.4618
H: 0.2383 0.2072 0.6579
H: 0.2383 0.2928 0.1579
H: 0.4225 0.7291 0.8711
H: 0.4225 0.7709 0.3711
H: 0.4507 0.2014 0.7056
H: 0.4507 0.2986 0.2056
H: 0.4617 0.2390 0.0240
H: 0.4617 0.2610 0.5240
H: 0.5383 0.7390 0.4760
H: 0.5383 0.7610 0.9760
H: 0.5493 0.7014 0.7944
H: 0.5493 0.7986 0.2944
H: 0.5775 0.2291 0.6289
H: 0.5775 0.2709 0.1289
H: 0.7617 0.7072 0.8421
H: 0.7617 0.7928 0.3421
H: 0.8192 0.7256 0.5382
H: 0.8192 0.7744 0.0382
H: 0.9155 0.7502 0.4808
H: 0.9155 0.7498 0.9808
C: 0.3323 0.2372 0.5829
C: 0.3323 0.2628 0.0829
C: 0.6677 0.7372 0.9171
C: 0.6677 0.7628 0.4171
I: 0.1023 0.7056 0.9055
I: 0.1023 0.7944 0.4055
I: 0.2095 0.7066 0.6992
I: 0.2095 0.7934 0.1992
I: 0.3101 0.2011 0.8551
I: 0.3101 0.2989 0.3551
I: 0.6899 0.7011 0.6449
I: 0.6899 0.7989 0.1449
I: 0.7905 0.2066 0.8008
I: 0.7905 0.2934 0.3008
I: 0.8977 0.2056 0.5945
I: 0.8977 0.2944 0.0945
N: 0.1881 0.2431 0.0163
N: 0.1881 0.2569 0.5163
N: 0.3412 0.2117 0.6542
N: 0.3412 0.2883 0.1542
N: 0.4676 0.2431 0.5782
N: 0.4676 0.2569 0.0782
N: 0.5324 0.7431 0.9218
N: 0.5324 0.7569 0.4218
N: 0.6588 0.7117 0.8458
N: 0.6588 0.7883 0.3458
N: 0.8119 0.7431 0.4837
N: 0.8119 0.7569 0.9837



Computed X-ray diffraction stick pattern
Compound: BaH8C6N6O8
Radiation: a wavelength of 1.5418 Å
Structure: a crystal structure in Alexandria, relaxed with GGA-PBE

Peak list (8 most intense, 15° ≤ 2θ ≤ 90°, low angle first)
2θ = 16.74°, intensity 68; 2θ = 19.17°, intensity 26; 2θ = 20.14°, intensity 23; 2θ = 21.17°, intensity 68; 2θ = 27.62°, intensity 100; 2θ = 27.80°, intensity 29; 2θ = 30.19°, intensity 24; 2θ = 36.32°, intensity 26

Cell and atoms:
Cell lengths 7.3547, 9.3641, 9.5488 Å; angles 84.91, 74.19, 81.92 degrees
Fractional coordinates of all 58 atoms:
Ba: 0.1011 0.0029 0.2280
Ba: 0.8989 0.9971 0.7720
H: 0.0660 0.5382 0.6930
H: 0.1500 0.5616 0.0858
H: 0.2269 0.7776 0.5096
H: 0.2675 0.9437 0.4868
H: 0.2776 0.8164 0.8893
H: 0.3344 0.9738 0.8674
H: 0.4339 0.3581 0.3245
H: 0.4502 0.6187 0.2674
H: 0.5498 0.3813 0.7326
H: 0.5661 0.6419 0.6755
H: 0.6656 0.0262 0.1326
H: 0.7224 0.1836 0.1107
H: 0.7325 0.0563 0.5132
H: 0.7731 0.2224 0.4904
H: 0.8500 0.4384 0.9142
H: 0.9340 0.4618 0.3070
C: 0.0821 0.3122 0.6853
C: 0.1847 0.3345 0.0858
C: 0.2612 0.4695 0.4999
C: 0.2805 0.2112 0.4742
C: 0.3572 0.4939 0.8986
C: 0.4196 0.2310 0.8924
C: 0.5804 0.7690 0.1076
C: 0.6428 0.5061 0.1014
C: 0.7195 0.7888 0.5258
C: 0.7388 0.5305 0.5001
C: 0.8153 0.6655 0.9142
C: 0.9179 0.6878 0.3147
N: 0.1322 0.4486 0.6313
N: 0.1604 0.1957 0.6081
N: 0.2228 0.4720 0.0267
N: 0.2831 0.2165 0.0180
N: 0.3349 0.3479 0.4250
N: 0.4525 0.3704 0.8336
N: 0.5475 0.6296 0.1664
N: 0.6651 0.6521 0.5750
N: 0.7169 0.7835 0.9820
N: 0.7772 0.5280 0.9733
N: 0.8396 0.8043 0.3919
N: 0.8678 0.5514 0.3687
O: 0.0391 0.6999 0.1927
O: 0.0566 0.3223 0.2038
O: 0.1675 0.8783 0.5221
O: 0.2252 0.9180 0.9064
O: 0.3071 0.5917 0.4508
O: 0.3450 0.1090 0.3909
O: 0.3915 0.6175 0.8454
O: 0.4823 0.8748 0.1751
O: 0.5177 0.1252 0.8249
O: 0.6085 0.3825 0.1546
O: 0.6550 0.8910 0.6091
O: 0.6929 0.4083 0.5492
O: 0.7748 0.0820 0.0936
O: 0.8325 0.1217 0.4779
O: 0.9434 0.6777 0.7962
O: 0.9609 0.3001 0.8073



Computed X-ray diffraction stick pattern
Compound: BaH6C2S2N2O3
Radiation: a wavelength of 1.5418 Å
Structure: a crystal structure in Alexandria, relaxed with GGA-PBE

Peak list (8 most intense, 15° ≤ 2θ ≤ 90°, low angle first)
2θ = 20.93°, intensity 93; 2θ = 21.83°, intensity 96; 2θ = 22.30°, intensity 94; 2θ = 27.46°, intensity 100; 2θ = 27.87°, intensity 76; 2θ = 32.80°, intensity 80; 2θ = 34.23°, intensity 68; 2θ = 40.12°, intensity 83

Cell and atoms:
Cell lengths 8.3860, 8.3860, 13.7676 Å; angles 98.95, 98.95, 31.09 degrees
Fractional coordinates of all 32 atoms:
Ba: 0.1320 0.1320 0.2693
Ba: 0.8680 0.8680 0.7307
H: 0.0423 0.6978 0.9742
H: 0.1346 0.7904 0.3788
H: 0.2096 0.8654 0.6212
H: 0.2184 0.2184 0.7084
H: 0.2261 0.2261 0.8219
H: 0.3022 0.9577 0.0258
H: 0.6978 0.0423 0.9742
H: 0.7739 0.7739 0.1781
H: 0.7816 0.7816 0.2916
H: 0.7904 0.1346 0.3788
H: 0.8654 0.2096 0.6212
H: 0.9577 0.3022 0.0258
C: 0.3466 0.3466 0.5038
C: 0.4567 0.4567 0.1508
C: 0.5433 0.5433 0.8492
C: 0.6534 0.6534 0.4962
S: 0.3510 0.3510 0.3858
S: 0.3578 0.3578 0.1006
S: 0.6422 0.6422 0.8994
S: 0.6490 0.6490 0.6142
N: 0.3433 0.3433 0.5893
N: 0.4719 0.4719 0.8110
N: 0.5281 0.5281 0.1890
N: 0.6567 0.6567 0.4107
O: 0.0027 0.0027 0.6327
O: 0.1332 0.1332 0.0706
O: 0.2598 0.2598 0.7689
O: 0.7402 0.7402 0.2311
O: 0.8668 0.8668 0.9294
O: 0.9973 0.9973 0.3673